Diffraction record for MnV4Fe. The PXRD pattern is simulated, not measured: it uses a cell relaxed with PBE and a wavelength of 1.5418 Å.
Intensities are scaled so that the largest is 100.

The 7 most intense peaks (10 to 90 degrees two-theta), in order of rising 2θ:
Position (°2θ), I/Imax, index
20.15, 1, 2 0 0
43.95, 100, 3 1 0
44.32, 49, 1 1 -2
63.32, 7, 6 0 0
64.47, 14, 0 2 0
80.53, 14, 5 1 2
81.32, 28, 2 2 2

Crystal structure
Lattice parameters (Å, degrees): 9.2750 2.8900 5.7827 90.00 108.17 90.00
Space group C2/m (No. 12)
Inequivalent atoms, fractional coordinates:
Mn (0.0000, 0.0000, 0.0000) [2 per cell]
V (0.1618, 0.5000, 0.8325) [4 per cell]
V (0.1636, 0.5000, 0.3303) [4 per cell]
Fe (0.0000, 0.0000, 0.5000) [2 per cell]